No. 1
For KSb2O6, a structure optimized by DFT (PBE) gives the theoretical powder X-ray diffraction pattern in this record (CuKα).
Lines closer than 0.1° are merged.

a b c (Å): 6.8710 6.8710 2.8917
angles (deg): 90.00 90.00 120.00
Space group P-3 (No. 147)
Unique sites:
K1 0.0000 0.0000 0.0000 (multiplicity 1)
Sb1 0.3333 0.6667 0.7559 (multiplicity 2)
O1 0.1393 0.7030 0.2567 (multiplicity 6)

Most intense lines, 2θ = 5–70°, low angle first:
h k l, 2θ (°), Rel. int.
1 0 0, 14.89, 51
1 1 0, 25.94, 100
1 0 1, 34.48, 38
0 2 1, 43.65, 42
3 0 0, 45.74, 21
3 -1 1, 51.47, 46
2 2 0, 53.33, 12
4 -3 1, 65.07, 19


No. 2
For Be2RePt, a structure optimized by DFT (PBE) gives the theoretical powder X-ray diffraction pattern in this record (CuKα).
Lines closer than 0.1° are merged.

a b c (Å): 2.7096 2.8750 5.9154
angles (deg): 90.00 90.00 90.00
Space group Pmmm (No. 47)
Unique sites:
Be1 0.0000 0.0000 0.2374 (multiplicity 2)
Re1 0.5000 0.5000 0.5000 (multiplicity 1)
Pt1 0.5000 0.5000 0.0000 (multiplicity 1)

Most intense lines, 2θ = 5–70°, low angle first:
h k l, 2θ (°), Rel. int.
0 0 2, 30.22, 100
0 1 0, 31.11, 93
1 0 0, 33.06, 79
0 1 2, 43.92, 83
1 0 2, 45.39, 76
1 1 0, 46.03, 73
1 1 2, 56.05, 73
0 0 4, 62.84, 14


No. 3
For CsRbMn2Cl8, a structure optimized by DFT (PBE) gives the theoretical powder X-ray diffraction pattern in this record (CuKα).
Lines closer than 0.1° are merged.

a b c (Å): 6.8756 6.8756 10.7964
angles (deg): 90.00 90.00 120.00
Space group P-3 (No. 147)
Unique sites:
Cs1 0.0000 0.0000 0.0000 (multiplicity 1)
Rb1 0.0000 0.0000 0.5000 (multiplicity 1)
Mn1 0.3333 0.6667 0.7779 (multiplicity 2)
Cl1 0.0238 0.3551 0.7185 (multiplicity 6)
Cl2 0.3333 0.6667 0.9819 (multiplicity 2)

Most intense lines, 2θ = 5–70°, low angle first:
h k l, 2θ (°), Rel. int.
0 1 1, 17.01, 48
1 0 2, 22.23, 100
1 1 0, 25.92, 50
1 1 1, 27.22, 60
2 -1 2, 30.84, 61
1 1 4, 42.59, 30
2 1 2, 43.57, 31
3 0 0, 45.71, 41


No. 4
For Y8CS3, a structure optimized by DFT (PBE) gives the theoretical powder X-ray diffraction pattern in this record (CuKα).
Lines closer than 0.1° are merged.

a b c (Å): 7.6019 7.6019 18.2975
angles (deg): 90.00 90.00 120.00
Space group R-3m (No. 166, hexagonal axes)
Unique sites:
Y1 0.0000 0.0000 0.2481 (multiplicity 6)
Y2 0.0295 0.5147 0.7483 (multiplicity 18)
C1 0.0000 0.0000 0.0000 (multiplicity 3)
S1 0.0000 0.5000 0.0000 (multiplicity 9)

Most intense lines, 2θ = 5–70°, low angle first:
h k l, 2θ (°), Rel. int.
2 0 2, 28.82, 80
0 0 6, 29.29, 27
0 2 4, 33.54, 100
2 2 0, 47.86, 32
2 0 8, 48.46, 34
2 2 6, 57.11, 20
0 2 10, 57.64, 11
4 0 4, 59.71, 15